Entry 1:
Calculated powder diffraction line list of Sr3PBr3 for Cu Kα, 1.54184 Å, from a crystal structure in Alexandria, relaxed with PBE.
Peak positions follow from Bragg's law for the DFT cell and can differ from measured ones.

```
Sr3PBr3
1.0
-4.3585 4.5577 6.5040
4.3585 -4.5577 6.5040
4.3585 4.5577 -6.5040
Sr P Br
6 2 6
Direct
0.2613 0.0113 0.2500 Sr
0.2838 0.0000 0.7839 Sr
0.2838 0.5000 0.2838 Sr
0.7161 0.0000 0.2162 Sr
0.7161 0.5000 0.7161 Sr
0.7387 0.9887 0.7500 Sr
0.4828 0.2328 0.2500 P
0.5172 0.7672 0.7500 P
0.0000 0.2433 0.2433 Br
0.0000 0.7567 0.7567 Br
0.0135 0.7635 0.2500 Br
0.5000 0.2433 0.7433 Br
0.5000 0.7567 0.2567 Br
0.9865 0.2365 0.7500 Br
```

Most intense lines, 2θ from 15° to 90°, in order of rising 2θ:
two_theta  Rel. int.
27.43  55
28.33  100
39.84  75
41.43  18
48.80  17
50.41  20


Entry 2:
Calculated powder diffraction line list of Pm3Mg7Tl4 for Cu Kα, 1.54184 Å, from a crystal structure in Alexandria, relaxed with PBE.
Peak positions follow from Bragg's law for the DFT cell and can differ from measured ones.

```
Pm3Mg7Tl4
1.0
8.7080 -2.3758 0.0000
8.7080 2.3758 0.0000
-6.5192 0.0000 8.6790
Pm Mg Tl
3 7 4
Direct
0.0000 0.0000 0.0000 Pm
0.2990 0.2990 0.2897 Pm
0.7010 0.7010 0.7103 Pm
0.0000 0.0000 0.5000 Mg
0.1584 0.1584 0.4325 Mg
0.3330 0.3330 0.9866 Mg
0.4901 0.4901 0.6761 Mg
0.5099 0.5099 0.3239 Mg
0.6670 0.6670 0.0134 Mg
0.8416 0.8416 0.5675 Mg
0.1246 0.1246 0.8412 Tl
0.3539 0.3539 0.7463 Tl
0.6461 0.6461 0.2537 Tl
0.8754 0.8754 0.1588 Tl
```

Most intense lines, 2θ from 15° to 90°, in order of rising 2θ:
two_theta  Rel. int.
23.99  61
24.24  60
31.08  79
31.30  71
31.85  100
37.87  65


Entry 3:
Calculated powder diffraction line list of Pb6I7Cl5 for Cu Kα, 1.54184 Å, from a crystal structure in Alexandria, relaxed with PBE.
Peak positions follow from Bragg's law for the DFT cell and can differ from measured ones.

```
Pb6I7Cl5
1.0
13.9708 0.0000 0.0000
0.0000 5.4950 4.8702
0.0000 -5.4950 4.8702
Pb I Cl
6 7 5
Direct
0.0000 0.0000 0.0000 Pb
0.1656 0.4984 0.4984 Pb
0.3221 0.9949 0.9949 Pb
0.5000 0.5336 0.5336 Pb
0.6779 0.9949 0.9949 Pb
0.8344 0.4984 0.4984 Pb
0.0000 0.2840 0.6947 I
0.0000 0.6947 0.2840 I
0.3309 0.3224 0.7298 I
0.3309 0.7298 0.3224 I
0.5000 0.2049 0.2049 I
0.6691 0.3224 0.7298 I
0.6691 0.7298 0.3224 I
0.1552 0.8027 0.8027 Cl
0.1683 0.1931 0.1931 Cl
0.5000 0.8251 0.8251 Cl
0.8317 0.1931 0.1931 Cl
0.8448 0.8027 0.8027 Cl
```

Most intense lines, 2θ from 15° to 90°, in order of rising 2θ:
two_theta  Rel. int.
16.13  37
18.22  100
22.66  66
32.43  97
34.65  44
41.94  66


Entry 4:
Calculated powder diffraction line list of Dy2Ge3 for Cu Kα, 1.54184 Å, from a crystal structure in Alexandria, relaxed with PBE.
Peak positions follow from Bragg's law for the DFT cell and can differ from measured ones.

```
Dy2Ge3
1.0
-2.0416 3.1983 4.1901
2.0416 -3.1983 4.1901
2.0416 3.1983 -4.1901
Dy Ge
2 3
Direct
0.2250 0.2250 0.0000 Dy
0.7750 0.7750 0.0000 Dy
0.1996 0.5000 0.6996 Ge
0.5000 0.0000 0.5000 Ge
0.8004 0.5000 0.3004 Ge
```

Most intense lines, 2θ from 15° to 90°, in order of rising 2θ:
two_theta  Rel. int.
25.89  21
27.90  17
33.70  100
35.30  30
37.29  26
44.37  19


Entry 5:
Calculated powder diffraction line list of SmEuInHg for Cu Kα, 1.54184 Å, from a crystal structure in Alexandria, relaxed with PBE.
Peak positions follow from Bragg's law for the DFT cell and can differ from measured ones.

```
SmEuInHg
1.0
0.0000 3.8717 3.8717
3.8717 0.0000 3.8717
3.8717 3.8717 0.0000
Sm Eu In Hg
1 1 1 1
Direct
0.0000 0.0000 0.0000 Sm
0.5000 0.5000 0.5000 Eu
0.2500 0.2500 0.2500 In
0.7500 0.7500 0.7500 Hg
```

Most intense lines, 2θ from 15° to 90°, in order of rising 2θ:
two_theta  Rel. int.
32.71  100
46.94  18
58.38  38
68.55  12
78.05  17
87.22  4


Entry 6:
Calculated powder diffraction line list of LiTcBr4 for Cu Kα, 1.54184 Å, from a crystal structure in Alexandria, relaxed with PBE.
Peak positions follow from Bragg's law for the DFT cell and can differ from measured ones.

```
LiTcBr4
1.0
0.0000 4.5120 4.5120
4.5120 0.0000 4.5120
4.5120 4.5120 0.0000
Li Tc Br
1 1 4
Direct
0.0000 0.0000 0.0000 Li
0.7500 0.7500 0.7500 Tc
0.3758 0.3758 0.3758 Br
0.3758 0.3758 0.8727 Br
0.3758 0.8727 0.3758 Br
0.8727 0.3758 0.3758 Br
```

Most intense lines, 2θ from 15° to 90°, in order of rising 2θ:
two_theta  Rel. int.
17.02  36
32.92  100
34.43  56
52.71  34
57.80  29
69.04  21


Entry 7:
Calculated powder diffraction line list of KErGeO4 for Cu Kα, 1.54184 Å, from a crystal structure in Alexandria, relaxed with PBE.
Peak positions follow from Bragg's law for the DFT cell and can differ from measured ones.

```
KErGeO4
1.0
5.7180 0.0000 0.0000
0.0000 5.8694 0.0000
-2.3036 0.0000 7.0605
K Er Ge O
2 2 2 8
Direct
0.1825 0.2500 0.4319 K
0.8175 0.7500 0.5681 K
0.3007 0.2500 0.9624 Er
0.6993 0.7500 0.0376 Er
0.2405 0.7500 0.1615 Ge
0.7595 0.2500 0.8385 Ge
0.0269 0.7500 0.9306 O
0.0450 0.7500 0.3037 O
0.4576 0.5226 0.1785 O
0.4576 0.9774 0.1785 O
0.5424 0.0226 0.8215 O
0.5424 0.4774 0.8215 O
0.9550 0.2500 0.6963 O
0.9731 0.2500 0.0694 O
```

Most intense lines, 2θ from 15° to 90°, in order of rising 2θ:
two_theta  Rel. int.
19.67  73
29.74  74
30.46  100
35.00  70
37.68  76
38.18  70


Entry 8:
Calculated powder diffraction line list of Sm4TlCd for Cu Kα, 1.54184 Å, from a crystal structure in Alexandria, relaxed with PBE.
Peak positions follow from Bragg's law for the DFT cell and can differ from measured ones.

```
Sm4TlCd
1.0
5.2321 0.0000 0.0000
0.0000 6.8893 0.0000
0.0000 0.0000 10.0507
Sm Tl Cd
8 2 2
Direct
0.2500 0.0106 0.2401 Sm
0.2500 0.2500 0.5692 Sm
0.2500 0.2500 0.9247 Sm
0.2500 0.4894 0.2401 Sm
0.7500 0.5106 0.7599 Sm
0.7500 0.7500 0.0753 Sm
0.7500 0.7500 0.4308 Sm
0.7500 0.9894 0.7599 Sm
0.2500 0.7500 0.6068 Tl
0.7500 0.2500 0.3932 Tl
0.2500 0.7500 0.9134 Cd
0.7500 0.2500 0.0866 Cd
```

Most intense lines, 2θ from 15° to 90°, in order of rising 2θ:
two_theta  Rel. int.
31.49  44
31.71  100
32.37  91
34.28  46
47.23  28
63.26  27


Entry 9:
Calculated powder diffraction line list of Pm2PaC4 for Cu Kα, 1.54184 Å, from a crystal structure in Alexandria, relaxed with PBE.
Peak positions follow from Bragg's law for the DFT cell and can differ from measured ones.

```
Pm2PaC4
1.0
2.5853 -5.0500 0.0000
2.5853 5.0500 0.0000
0.0000 0.0000 4.5822
Pm Pa C
2 1 4
Direct
0.1782 0.8218 0.0000 Pm
0.8218 0.1782 0.0000 Pm
0.5000 0.5000 0.5000 Pa
0.0660 0.9340 0.5000 C
0.4272 0.5728 0.0000 C
0.5728 0.4272 0.0000 C
0.9340 0.0660 0.5000 C
```

Most intense lines, 2θ from 15° to 90°, in order of rising 2θ:
two_theta  Rel. int.
26.26  97
27.47  100
31.72  93
34.70  45
44.03  49
51.37  49


Entry 10:
Calculated powder diffraction line list of Pm4RuRh2 for Cu Kα, 1.54184 Å, from a crystal structure in Alexandria, relaxed with PBE.
Peak positions follow from Bragg's law for the DFT cell and can differ from measured ones.

```
Pm4RuRh2
1.0
-4.3842 4.3872 4.4044
4.3842 -4.3872 4.4044
4.3842 4.3872 -4.4044
Pm Ru Rh
8 2 4
Direct
0.1175 0.1180 0.1132 Pm
0.3825 0.4957 0.0005 Pm
0.5027 0.0023 0.8766 Pm
0.5048 0.0043 0.3868 Pm
0.6257 0.6261 0.6234 Pm
0.8743 0.4977 0.0004 Pm
0.9952 0.3820 0.4995 Pm
0.9973 0.8739 0.4996 Pm
0.6059 0.3559 0.2500 Ru
0.8941 0.1441 0.7500 Ru
0.1441 0.7500 0.8941 Rh
0.2500 0.6164 0.3664 Rh
0.3559 0.2500 0.6059 Rh
0.7500 0.8836 0.1336 Rh
```

Most intense lines, 2θ from 15° to 90°, in order of rising 2θ:
two_theta  Rel. int.
28.75  22
32.15  51
32.27  100
38.33  68
48.62  16
53.20  31